This entry pairs a crystal structure of Ba2TcWN6 with its theoretical powder diffractogram. Radiation: a wavelength of 1.5418 Å. Structure: the PBE geometry in OQMD.
No peak broadening, texture or thermal motion is included.

```
data_Ba2TcWN6
_chemical_formula_sum 'Ba4 Tc2 W2 N12'
_space_group_name_H-M_alt 'I 4/m'
_space_group_IT_number 87
_space_group_name_Hall '-I 4'
_cell_length_a 5.735
_cell_length_b 5.735
_cell_length_c 8.125
_cell_angle_alpha 90.00
_cell_angle_beta 90.00
_cell_angle_gamma 90.00
loop_
_atom_site_label
_atom_site_fract_x
_atom_site_fract_y
_atom_site_fract_z
Ba1 0.000 0.500 0.250
Tc1 0.000 0.000 0.000
W1 0.000 0.000 0.500
N1 0.000 0.000 0.250
N2 0.247 0.249 0.000
```

Largest 8 diffraction maxima, sorted by position, 10° ≤ 2θ ≤ 80°:
18.9°, 4.685 Å, I = 5, (1 0 1); 31.2°, 2.869 Å, I = 100, (2 0 0); 36.7°, 2.447 Å, I = 3, (2 1 1); 44.7°, 2.029 Å, I = 26, (2 2 0); 55.5°, 1.656 Å, I = 40, (3 1 2); 65.0°, 1.435 Å, I = 17, (4 0 0); 73.8°, 1.284 Å, I = 6, (1 1 6); 73.9°, 1.282 Å, I = 12, (4 2 0)

---

This entry pairs a crystal structure of BaWN2 with its theoretical powder diffractogram. Radiation: a wavelength of 1.5418 Å. Structure: the PBE geometry in OQMD.
No peak broadening, texture or thermal motion is included.

```
data_BaWN2
_chemical_formula_sum 'Ba2 W2 N4'
_space_group_name_H-M_alt 'P 4/n m m'
_space_group_IT_number 129
_cell_length_a 4.040
_cell_length_b 4.040
_cell_length_c 8.175
_cell_angle_alpha 90.00
_cell_angle_beta 90.00
_cell_angle_gamma 90.00
loop_
_space_group_symop_operation_xyz
'x,y,z'
'-x,-y,-z'
'-y+1/2,x,z'
'y+1/2,-x,-z'
'-x+1/2,-y+1/2,z'
'x+1/2,y+1/2,-z'
'y,-x+1/2,z'
'-y,x+1/2,-z'
'x+1/2,-y,-z'
'-x+1/2,y,z'
'-y,-x,-z'
'y,x,z'
'-x,y+1/2,-z'
'x,-y+1/2,z'
'y+1/2,x+1/2,-z'
'-y+1/2,-x+1/2,z'
loop_
_atom_site_label
_atom_site_fract_x
_atom_site_fract_y
_atom_site_fract_z
Ba1 0.250 0.250 0.158
W1 0.250 0.250 0.580
N1 0.250 0.250 0.804
N2 0.250 0.750 0.500
```

Largest 8 diffraction maxima, sorted by position, 10° ≤ 2θ ≤ 80°:
10.8°, 8.175 Å, I = 38, (0 0 1); 31.1°, 2.873 Å, I = 100, (1 0 2); 31.3°, 2.857 Å, I = 69, (1 1 0); 39.9°, 2.259 Å, I = 17, (1 0 3); 44.9°, 2.020 Å, I = 30, (2 0 0); 55.6°, 1.653 Å, I = 40, (2 1 2); 61.2°, 1.516 Å, I = 11, (1 0 5); 74.2°, 1.278 Å, I = 20, (3 1 0)

---

This entry pairs a crystal structure of Ba6Na2Nb2P2O17 with its theoretical powder diffractogram. Radiation: a wavelength of 1.5418 Å. Structure: the PBE geometry in OQMD.
No peak broadening, texture or thermal motion is included.

```
data_Ba6Na2Nb2P2O17
_chemical_formula_sum 'Ba6 Na2 Nb2 P2 O17'
_space_group_name_H-M_alt 'P -3 m 1'
_space_group_IT_number 164
_space_group_name_Hall '-P 3 2"'
_cell_length_a 5.8235
_cell_length_b 5.8235
_cell_length_c 14.5974
_cell_angle_alpha 90.00
_cell_angle_beta 90.00
_cell_angle_gamma 120.00
loop_
_atom_site_label
_atom_site_fract_x
_atom_site_fract_y
_atom_site_fract_z
Ba1 0.0000 0.0000 0.0000
Ba2 0.0000 0.0000 0.5000
Ba3 0.3333 0.6667 0.3193
Ba4 0.3333 0.6667 0.8420
Na1 0.0000 0.0000 0.2552
Nb1 0.3333 0.6667 0.0881
P1 0.3333 0.6667 0.6048
O1 0.0000 0.5000 0.0000
O2 0.1747 0.3495 0.1619
O3 0.1883 0.3765 0.6433
O4 0.3333 0.6667 0.4996
```

Largest 8 diffraction maxima, sorted by position, 10° ≤ 2θ ≤ 80°:
21.4°, 4.149 Å, I = 34, (1 0 2); 30.2°, 2.957 Å, I = 89, (0 1 4); 30.7°, 2.912 Å, I = 100, (1 1 0); 37.7°, 2.383 Å, I = 25, (0 2 2); 43.6°, 2.075 Å, I = 53, (2 0 4); 54.3°, 1.690 Å, I = 33, (1 2 4); 54.6°, 1.681 Å, I = 19, (3 0 0); 63.9°, 1.456 Å, I = 20, (2 2 0)

---

This entry pairs a crystal structure of Ba3NaPdO6 with its theoretical powder diffractogram. Radiation: a wavelength of 1.5418 Å. Structure: the PBE geometry in OQMD.
No peak broadening, texture or thermal motion is included.

```
data_Ba3NaPdO6
_chemical_formula_sum 'Ba18 Na6 Pd6 O36'
_space_group_name_H-M_alt 'R -3 c'
_space_group_IT_number 167
_space_group_name_Hall '-R 3 2"c'
_cell_length_a 10.1203
_cell_length_b 10.1203
_cell_length_c 11.9679
_cell_angle_alpha 90.00
_cell_angle_beta 90.00
_cell_angle_gamma 120.00
loop_
_atom_site_label
_atom_site_fract_x
_atom_site_fract_y
_atom_site_fract_z
Ba1 0.0000 0.3593 0.2500
Na1 0.0000 0.0000 0.2500
Pd1 0.0000 0.0000 0.0000
O1 0.0184 0.1711 0.3991
```

Largest 8 diffraction maxima, sorted by position, 10° ≤ 2θ ≤ 80°:
17.9°, 4.942 Å, I = 32, (0 1 2); 28.5°, 3.133 Å, I = 100, (1 1 3); 30.6°, 2.921 Å, I = 94, (3 0 0); 40.0°, 2.252 Å, I = 14, (3 1 2); 42.3°, 2.137 Å, I = 53, (2 2 3); 49.1°, 1.856 Å, I = 16, (1 1 6); 53.1°, 1.725 Å, I = 24, (1 4 3); 54.4°, 1.687 Å, I = 15, (3 3 0)

---

This entry pairs a crystal structure of Ba2NaPdO6 with its theoretical powder diffractogram. Radiation: a wavelength of 1.5418 Å. Structure: the PBE geometry in OQMD.
No peak broadening, texture or thermal motion is included.

```
data_Ba2NaPdO6
_chemical_formula_sum 'Ba8 Na4 Pd4 O24'
_space_group_name_H-M_alt 'F m -3 m'
_space_group_IT_number 225
_space_group_name_Hall '-F 4 2 3'
_cell_length_a 8.253
_cell_length_b 8.253
_cell_length_c 8.253
_cell_angle_alpha 90.00
_cell_angle_beta 90.00
_cell_angle_gamma 90.00
loop_
_atom_site_label
_atom_site_fract_x
_atom_site_fract_y
_atom_site_fract_z
Ba1 0.250 0.250 0.250
Na1 0.000 0.000 0.000
Pd1 0.000 0.000 0.500
O1 0.000 0.000 0.264
```

Largest 8 diffraction maxima, sorted by position, 10° ≤ 2θ ≤ 80°:
18.6°, 4.765 Å, I = 15, (1 1 1); 21.5°, 4.127 Å, I = 8, (2 0 0); 30.6°, 2.918 Å, I = 100, (2 2 0); 37.8°, 2.383 Å, I = 15, (2 2 2); 43.9°, 2.063 Å, I = 33, (4 0 0); 54.5°, 1.685 Å, I = 39, (4 2 2); 63.8°, 1.459 Å, I = 20, (4 4 0); 72.4°, 1.305 Å, I = 18, (6 2 0)

---

This entry pairs a crystal structure of BaNaSmS3 with its theoretical powder diffractogram. Radiation: a wavelength of 1.5418 Å. Structure: the PBE geometry in OQMD.
No peak broadening, texture or thermal motion is included.

```
data_BaNaSmS3
_chemical_formula_sum 'Ba4 Na4 Sm4 S12'
_space_group_name_H-M_alt 'C m c m'
_space_group_IT_number 63
_space_group_name_Hall '-C 2c 2'
_cell_length_a 4.299
_cell_length_b 13.858
_cell_length_c 10.616
_cell_angle_alpha 90.00
_cell_angle_beta 90.00
_cell_angle_gamma 90.00
loop_
_atom_site_label
_atom_site_fract_x
_atom_site_fract_y
_atom_site_fract_z
Ba1 0.000 0.244 0.250
Na1 0.000 0.026 0.750
Sm1 0.000 0.500 0.000
S1 0.000 0.132 0.550
S2 0.000 0.422 0.750
```

Largest 8 diffraction maxima, sorted by position, 10° ≤ 2θ ≤ 80°:
21.1°, 4.214 Å, I = 100, (0 2 2); 25.7°, 3.465 Å, I = 27, (0 4 0); 28.4°, 3.148 Å, I = 42, (1 3 0); 29.6°, 3.017 Å, I = 57, (1 3 1); 33.1°, 2.707 Å, I = 47, (1 3 2); 33.8°, 2.654 Å, I = 37, (0 0 4); 42.4°, 2.133 Å, I = 35, (1 5 2); 42.7°, 2.118 Å, I = 28, (0 6 2)

---

This entry pairs a crystal structure of BaNaTmS3 with its theoretical powder diffractogram. Radiation: a wavelength of 1.5418 Å. Structure: the PBE geometry in OQMD.
No peak broadening, texture or thermal motion is included.

```
data_BaNaTmS3
_chemical_formula_sum 'Ba2 Na2 Tm2 S6'
_space_group_name_H-M_alt 'P 1 21/m 1'
_space_group_IT_number 11
_cell_length_a 8.370
_cell_length_b 4.175
_cell_length_c 9.220
_cell_angle_alpha 90.00
_cell_angle_beta 107.22
_cell_angle_gamma 90.00
loop_
_space_group_symop_operation_xyz
'x,y,z'
'-x,-y,-z'
'-x,y+1/2,-z'
'x,-y+1/2,z'
loop_
_atom_site_label
_atom_site_fract_x
_atom_site_fract_y
_atom_site_fract_z
Ba1 0.226 0.250 0.250
Na1 0.091 0.250 0.587
Tm1 0.323 0.750 0.849
S1 0.113 0.250 0.874
S2 0.255 0.750 0.536
S3 0.459 0.750 0.151
```

Largest 8 diffraction maxima, sorted by position, 10° ≤ 2θ ≤ 80°:
10.0°, 8.807 Å, I = 34, (0 0 1); 22.2°, 3.998 Å, I = 36, (2 0 0); 23.6°, 3.773 Å, I = 58, (0 1 1); 25.3°, 3.524 Å, I = 26, (2 0 -2); 30.4°, 2.936 Å, I = 100, (2 1 -1); 31.0°, 2.888 Å, I = 41, (2 1 0); 38.8°, 2.321 Å, I = 25, (2 1 -3); 43.3°, 2.088 Å, I = 38, (0 2 0)

---

This entry pairs a crystal structure of Ba3Na2Tc3 with its theoretical powder diffractogram. Radiation: a wavelength of 1.5418 Å. Structure: the PBE geometry in OQMD.
No peak broadening, texture or thermal motion is included.

```
data_Ba3Na2Tc3
_chemical_formula_sum 'Ba3 Na2 Tc3'
_space_group_name_H-M_alt 'P -4 m 2'
_space_group_IT_number 115
_cell_length_a 5.434
_cell_length_b 5.434
_cell_length_c 10.279
_cell_angle_alpha 90.00
_cell_angle_beta 90.00
_cell_angle_gamma 90.00
loop_
_space_group_symop_operation_xyz
'x,y,z'
'y,-x,-z'
'-x,-y,z'
'-y,x,-z'
'-x,y,z'
'-y,-x,-z'
'x,-y,z'
'y,x,-z'
loop_
_atom_site_label
_atom_site_fract_x
_atom_site_fract_y
_atom_site_fract_z
Ba1 0.000 0.000 0.000
Ba2 0.000 0.000 0.500
Ba3 0.500 0.500 0.000
Na1 0.000 0.500 0.728
Tc1 0.500 0.500 0.286
Tc2 0.500 0.500 0.500
```

Largest 8 diffraction maxima, sorted by position, 10° ≤ 2θ ≤ 80°:
23.1°, 3.842 Å, I = 100, (1 1 0); 23.8°, 3.734 Å, I = 20, (1 0 2); 29.0°, 3.077 Å, I = 35, (1 1 2); 33.0°, 2.717 Å, I = 53, (2 0 0); 42.3°, 2.136 Å, I = 32, (1 1 4); 47.3°, 1.921 Å, I = 21, (2 2 0); 48.8°, 1.867 Å, I = 27, (2 0 4); 53.3°, 1.718 Å, I = 20, (3 1 0)

---

This entry pairs a crystal structure of Ba4Nb4O11 with its theoretical powder diffractogram. Radiation: a wavelength of 1.5418 Å. Structure: the PBE geometry in OQMD.
No peak broadening, texture or thermal motion is included.

```
data_Ba4Nb4O11
_chemical_formula_sum 'Ba8 Nb8 O22'
_space_group_name_H-M_alt 'A m m 2'
_space_group_IT_number 38
_cell_length_a 8.235
_cell_length_b 8.258
_cell_length_c 8.235
_cell_angle_alpha 90.00
_cell_angle_beta 90.00
_cell_angle_gamma 90.00
loop_
_space_group_symop_operation_xyz
'x,y,z'
'-x,-y,z'
'-x,y,z'
'x,-y,z'
'x,y+1/2,z+1/2'
'-x,-y+1/2,z+1/2'
'-x,y+1/2,z+1/2'
'x,-y+1/2,z+1/2'
loop_
_atom_site_label
_atom_site_fract_x
_atom_site_fract_y
_atom_site_fract_z
Ba1 0.250 0.000 0.000
Ba2 0.250 0.000 0.500
Nb1 0.000 0.249 0.250
Nb2 0.500 0.249 0.250
O1 0.000 0.000 0.251
O2 0.000 0.000 0.749
O3 0.000 0.249 0.000
O4 0.251 0.246 0.750
O5 0.500 0.000 0.251
O6 0.500 0.249 0.000
```

Largest 8 diffraction maxima, sorted by position, 10° ≤ 2θ ≤ 80°:
30.7°, 2.914 Å, I = 100, (2 2 0); 37.8°, 2.380 Å, I = 6, (2 2 2); 43.9°, 2.065 Å, I = 10, (0 4 0); 44.0°, 2.059 Å, I = 20, (4 0 0); 54.5°, 1.683 Å, I = 39, (4 2 2); 63.9°, 1.457 Å, I = 18, (4 4 0); 72.4°, 1.305 Å, I = 6, (2 6 0); 72.6°, 1.302 Å, I = 11, (6 2 0)

---

This entry pairs a crystal structure of Ba5Nb4O15 with its theoretical powder diffractogram. Radiation: a wavelength of 1.5418 Å. Structure: the PBE geometry in OQMD.
No peak broadening, texture or thermal motion is included.

```
data_Ba5Nb4O15
_chemical_formula_sum 'Ba5 Nb4 O15'
_space_group_name_H-M_alt 'P -3 m 1'
_space_group_IT_number 164
_space_group_name_Hall '-P 3 2"'
_cell_length_a 5.8206
_cell_length_b 5.8206
_cell_length_c 11.8324
_cell_angle_alpha 90.00
_cell_angle_beta 90.00
_cell_angle_gamma 120.00
loop_
_atom_site_label
_atom_site_fract_x
_atom_site_fract_y
_atom_site_fract_z
Ba1 0.0000 0.0000 0.0000
Ba2 0.3333 0.6667 0.4283
Ba3 0.3333 0.6667 0.7909
Nb1 0.0000 0.0000 0.3185
Nb2 0.3333 0.6667 0.1056
O1 0.0000 0.5000 0.0000
O2 0.1657 0.3313 0.6107
O3 0.1681 0.3362 0.1929
```

Largest 8 diffraction maxima, sorted by position, 10° ≤ 2θ ≤ 80°:
28.7°, 3.106 Å, I = 100, (0 1 3); 30.7°, 2.910 Å, I = 85, (1 1 0); 42.6°, 2.124 Å, I = 53, (2 0 3); 49.6°, 1.837 Å, I = 21, (1 0 6); 53.4°, 1.716 Å, I = 35, (1 2 3); 54.6°, 1.680 Å, I = 17, (3 0 0); 64.0°, 1.455 Å, I = 17, (2 2 0); 71.6°, 1.318 Å, I = 16, (3 1 3)